Simulated powder X-ray diffraction pattern of LiMn5Cu2O12 for Cu Kα (λ = 1.5418 Å), from the GGA+U geometry in Alexandria.
Kinematic intensities with the Lorentz-polarization factor, no thermal factor.

Lattice parameters (Å, degrees): 5.1054 5.1054 9.6921 93.90 93.90 116.13
Fractional positions:
Li: 0.0000 0.0000 0.0000
Mn: 0.3388 0.6612 0.0000
Mn: 0.4153 0.0697 0.2414
Mn: 0.5118 0.4882 0.5000
Mn: 0.8496 0.1504 0.5000
Mn: 0.9303 0.5847 0.7586
Cu: 0.1838 0.8162 0.5000
Cu: 0.6678 0.3322 0.0000
O: 0.1190 0.7512 0.1310
O: 0.1760 0.1330 0.3990
O: 0.1902 0.4993 0.6000
O: 0.2488 0.8810 0.8690
O: 0.3908 0.3640 0.1029
O: 0.5007 0.8098 0.4000
O: 0.6199 0.2550 0.6236
O: 0.6360 0.6092 0.8971
O: 0.6602 0.0257 0.0997
O: 0.7450 0.3801 0.3764
O: 0.8670 0.8240 0.6010
O: 0.9743 0.3398 0.9003

Main lines, by intensity (2θ from 15° to 90°):
44.1 deg, rel. 100; 18.5 deg, rel. 84; 22.5 deg, rel. 64; 40.6 deg, rel. 60; 20.5 deg, rel. 38; 60.7 deg, rel. 30; 62.3 deg, rel. 29; 37.1 deg, rel. 27; 20.6 deg, rel. 23; 32.4 deg, rel. 19